# 1
Cs2MgHg: simulated powder XRD pattern (Cu Kα (weighted mean of Kα1 and Kα2)), based on a cell relaxed with PBE.

a = 10.704 Å, b = 10.704 Å, c = 7.855 Å
α = 90.00°, β = 90.00°, γ = 90.00°
Space group I-42d (No. 122)
Asymmetric unit:
Cs  0.223  0.250  0.125
Mg  0.000  0.000  0.500
Hg  0.000  0.000  0.000

Main lines, by angle (2θ from 10° to 80°):
two_theta  I/Imax
13.98  60
23.51  100
25.55  86
32.24  30
33.49  38
35.00  71
49.44  32
61.03  26

# 2
Cs2MgHg3Pb4: simulated powder XRD pattern (Cu Kα (weighted mean of Kα1 and Kα2)), based on a cell relaxed with PBE.

a = 5.180 Å, b = 5.180 Å, c = 13.016 Å
α = 90.00°, β = 90.00°, γ = 90.00°
Space group P-4m2 (No. 115)
Asymmetric unit:
Cs  0.000  0.500  0.247
Mg  0.500  0.500  0.000
Hg  0.000  0.000  0.000
Hg  0.000  0.500  0.640
Pb  0.000  0.000  0.500
Pb  0.000  0.500  0.874
Pb  0.500  0.500  0.500

Main lines, by angle (2θ from 10° to 80°):
two_theta  I/Imax
18.44  39
26.81  66
27.95  100
34.64  88
36.95  68
38.71  41
44.33  35
52.91  33

# 3
Cs2MgHg2Se4: simulated powder XRD pattern (Cu Kα (weighted mean of Kα1 and Kα2)), based on a cell relaxed with PBE.

a = 17.416 Å, b = 4.216 Å, c = 8.259 Å
α = 90.00°, β = 106.15°, γ = 90.00°
Space group C2/m (No. 12)
Asymmetric unit:
Cs  0.124  0.000  0.048
Mg  0.000  0.000  0.500
Hg  0.162  0.500  0.490
Se  0.014  0.500  0.290
Se  0.215  0.000  0.694

Main lines, by angle (2θ from 10° to 80°):
two_theta  I/Imax
11.15  83
25.18  100
26.32  81
27.01  49
30.56  98
31.87  59
42.91  48
47.15  48

# 4
CsMgHgTe2: simulated powder XRD pattern (Cu Kα (weighted mean of Kα1 and Kα2)), based on a cell relaxed with PBE.

a = 6.625 Å, b = 15.603 Å, c = 8.039 Å
α = 90.00°, β = 90.00°, γ = 90.00°
Space group Cmme (No. 67)
Asymmetric unit:
Cs  0.000  0.250  0.240
Mg  0.250  0.000  0.000
Hg  0.000  0.000  0.500
Te  0.000  0.110  0.810

Main lines, by angle (2θ from 10° to 80°):
two_theta  I/Imax
11.34  24
15.83  32
24.41  100
24.92  44
25.38  26
26.92  54
37.33  28
41.35  23